1.
The following is a calculated PXRD pattern of HgGeSe. It was derived from the GGA-PBE geometry in Alexandria, using Cu Kα.
Kinematic intensities with the Lorentz-polarization factor, no thermal factor.

Principal peaks in the range 10 to 90 degrees two-theta, sorted by position:
two_theta  d (Å)  I/Imax  (hkl)
17.21  5.151  163  0 0 2
27.86  3.202  169  1 0 -2
28.20  3.165  334  0 1 2
28.54  3.127  164  1 0 2
31.55  2.836  1000  1 1 0
34.38  2.609  275  0 1 3
34.82  2.576  336  0 0 4
45.22  2.005  371  0 2 0
47.26  1.923  164  1 1 -4
48.13  1.890  162  1 1 4
58.30  1.583  153  0 2 4
74.88  1.268  168  1 3 0

Atomic structure:
Lattice parameters (Å, degrees): 4.0104 4.0113 10.3058 90.00 91.40 90.00
Fractional coordinates of all 6 atoms:
Hg 0.2469 0.2500 0.4163
Hg 0.7531 0.7500 0.5837
Ge 0.2512 0.2500 0.1196
Ge 0.7488 0.7500 0.8804
Se 0.2403 0.2500 0.8695
Se 0.7597 0.7500 0.1305

***

2.
The following is a calculated PXRD pattern of KTcPbO4. It was derived from the GGA-PBE geometry in Alexandria, using Cu Kα.
Kinematic intensities with the Lorentz-polarization factor, no thermal factor.

Principal peaks in the range 10 to 90 degrees two-theta, sorted by position:
two_theta  d (Å)  I/Imax  (hkl)
12.39  7.144  1000  0 0 1
16.16  5.486  387  1 0 -1
24.22  3.674  695  1 0 -2
27.48  3.246  779  1 1 1
28.68  3.112  521  0 2 0
31.35  2.853  277  0 2 1
33.02  2.713  664  2 1 -1
34.99  2.564  329  2 1 0
37.27  2.413  227  1 1 2
37.89  2.375  409  1 2 -2
40.56  2.224  241  0 1 3
50.09  1.821  174  1 3 1

Atomic structure:
Lattice parameters (Å, degrees): 6.0340 6.2247 7.6587 90.00 111.14 90.00
Fractional coordinates of all 14 atoms:
K 0.2280 0.2500 0.0801
K 0.7720 0.7500 0.9199
Tc 0.4602 0.2500 0.7214
Tc 0.5398 0.7500 0.2786
Pb 0.1360 0.7500 0.5328
Pb 0.8640 0.2500 0.4672
O 0.2210 0.7500 0.2061
O 0.2784 0.2500 0.4669
O 0.3361 0.0051 0.7823
O 0.3361 0.4949 0.7823
O 0.6639 0.5051 0.2177
O 0.6639 0.9949 0.2177
O 0.7216 0.7500 0.5331
O 0.7790 0.2500 0.7939

***

3.
The following is a calculated PXRD pattern of Ba2ZnW. It was derived from the GGA-PBE geometry in Alexandria, using Cu Kα.
Kinematic intensities with the Lorentz-polarization factor, no thermal factor.

Principal peaks in the range 10 to 90 degrees two-theta, sorted by position:
two_theta  d (Å)  I/Imax  (hkl)
26.17  3.406  814  1 0 1
28.10  3.175  488  0 0 3
30.88  2.895  672  1 0 2
34.79  2.579  1000  1 1 0
37.56  2.395  780  1 0 3
45.31  2.002  529  1 1 3
50.02  1.823  354  2 0 0
52.29  1.749  228  1 1 4
58.36  1.581  249  2 0 3
63.96  1.456  329  1 0 6
64.20  1.451  324  2 1 3
85.33  1.138  302  2 1 6

Atomic structure:
Lattice parameters (Å, degrees): 3.6467 3.6467 9.5250 90.00 90.00 90.00
Fractional coordinates of all 4 atoms:
Ba 0.0000 0.0000 0.0000
Ba 0.5000 0.5000 0.4199
Zn 0.5000 0.5000 0.7483
W 0.0000 0.0000 0.6765

***

4.
The following is a calculated PXRD pattern of SrTbTm2. It was derived from the GGA-PBE geometry in Alexandria, using Cu Kα.
Kinematic intensities with the Lorentz-polarization factor, no thermal factor.

Principal peaks in the range 10 to 90 degrees two-theta, sorted by position:
two_theta  d (Å)  I/Imax  (hkl)
29.79  2.999  1000  1 0 2
34.14  2.626  135  0 0 4
34.73  2.583  363  1 1 0
35.51  2.528  126  1 0 3
49.49  1.842  189  1 1 4
49.93  1.827  130  2 0 0
56.46  1.630  63  1 1 5
58.45  1.579  72  1 0 6
59.23  1.560  287  2 1 2
61.87  1.500  104  2 0 4
81.06  1.186  59  3 0 2
83.72  1.155  60  3 1 0

Atomic structure:
Lattice parameters (Å, degrees): 3.6532 3.6532 10.5049 90.00 90.00 90.00
Fractional coordinates of all 4 atoms:
Sr 0.0000 0.0000 0.0000
Tb 0.0000 0.0000 0.5000
Tm 0.5000 0.5000 0.2802
Tm 0.5000 0.5000 0.7198

***

5.
The following is a calculated PXRD pattern of Ni7Mo9P6. It was derived from the GGA-PBE geometry in Alexandria, using Cu Kα.
Kinematic intensities with the Lorentz-polarization factor, no thermal factor.

Principal peaks in the range 10 to 90 degrees two-theta, sorted by position:
two_theta  d (Å)  I/Imax  (hkl)
36.22  2.480  89  -1 1 2
38.16  2.358  87  1 1 3
39.16  2.301  113  3 1 1
39.25  2.295  103  2 3 1
39.59  2.277  109  -1 2 1
41.43  2.179  1000  0 0 3
41.78  2.162  90  2 1 3
45.76  1.983  84  1 2 -2
47.44  1.916  237  2 -1 2
48.21  1.888  208  1 3 3
48.98  1.860  186  3 2 -1
69.95  1.345  86  3 2 5

Atomic structure:
Lattice parameters (Å, degrees): 7.0318 7.0436 7.0862 69.05 72.38 60.79
Fractional coordinates of all 22 atoms:
Ni 0.0000 0.0000 0.0000
Ni 0.1356 0.2842 0.9944
Ni 0.1458 0.6195 0.6689
Ni 0.2781 0.5833 0.0040
Ni 0.7219 0.4167 0.9960
Ni 0.8542 0.3805 0.3311
Ni 0.8644 0.7158 0.0056
Mo 0.0631 0.2846 0.6391
Mo 0.1970 0.9504 0.3372
Mo 0.4230 0.4729 0.3429
Mo 0.4433 0.8625 0.9477
Mo 0.5000 0.0000 0.5000
Mo 0.5567 0.1375 0.0523
Mo 0.5770 0.5271 0.6571
Mo 0.8030 0.0496 0.6628
Mo 0.9369 0.7154 0.3609
P 0.2004 0.3321 0.2656
P 0.2046 0.8722 0.7232
P 0.4026 0.2641 0.7283
P 0.5974 0.7359 0.2717
P 0.7954 0.1278 0.2768
P 0.7996 0.6679 0.7344